NaPr2Cl6: computed XRD peak list (Cu Kα, 1.54184 Å), based on the GGA-PBE geometry in the Materials Project.
Lines closer than 0.1° are merged.

Structural model:
```
NaPr2Cl6
1.0
7.9899 0.0000 0.0000
0.0000 3.9557 0.0000
-7.9893 0.0000 13.8626
Na Pr Cl
2 4 12
direct
0.0000 0.0000 0.0000
0.0000 0.5000 0.5000
0.3333 0.2501 0.3333
0.3333 0.2499 0.8333
0.6667 0.7501 0.1667
0.6667 0.7499 0.6667
0.0809 0.7486 0.3495
0.0809 0.7514 0.8495
0.3014 0.7491 0.6906
0.3014 0.7509 0.1906
0.3811 0.2503 0.0398
0.3811 0.2497 0.5398
0.6189 0.7503 0.4602
0.6189 0.7497 0.9602
0.6986 0.2491 0.8094
0.6986 0.2509 0.3094
0.9191 0.2486 0.1505
0.9191 0.2514 0.6505
```

Largest 10 diffraction maxima, low angle first, 15° ≤ 2θ ≤ 90°:
22.2°, d 3.998, I = 64.0; 25.9°, d 3.435, I = 66.8; 31.8°, d 2.812, I = 26.5; 34.3°, d 2.618, I = 17.3; 34.4°, d 2.605, I = 100.0; 39.0°, d 2.308, I = 54.0; 41.4°, d 2.183, I = 81.7; 53.0°, d 1.728, I = 16.5; 61.8°, d 1.502, I = 20.9; 63.1°, d 1.474, I = 35.0



NaPr2Cl6: computed XRD peak list (Cu Kα, 1.54184 Å), based on the GGA-PBE geometry in the Materials Project.
Lines closer than 0.1° are merged.

Structural model:
```
NaPr2Cl6
1.0
7.9977 0.0000 0.0000
-3.9989 6.9262 0.0000
0.0000 0.0000 3.9567
Na Pr Cl
1 2 6
direct
0.0000 0.0000 0.0000
0.3333 0.6667 0.7509
0.6667 0.3333 0.2491
0.0798 0.6974 0.2495
0.3026 0.3824 0.2495
0.3824 0.0798 0.7505
0.6176 0.9202 0.2495
0.6974 0.6176 0.7505
0.9202 0.3026 0.7505
```

Largest 10 diffraction maxima, low angle first, 15° ≤ 2θ ≤ 90°:
22.2°, d 3.999, I = 64.2; 25.9°, d 3.436, I = 68.0; 31.8°, d 2.813, I = 27.4; 34.3°, d 2.618, I = 17.4; 34.4°, d 2.606, I = 100.0; 39.0°, d 2.309, I = 54.1; 41.4°, d 2.183, I = 83.2; 61.3°, d 1.511, I = 17.0; 61.8°, d 1.502, I = 20.9; 63.0°, d 1.475, I = 35.1



Rb2NaTbCl6: computed XRD peak list (Cu Kα, 1.54184 Å), based on the GGA-PBE geometry in the Materials Project.
Lines closer than 0.1° are merged.

Structural model:
```
Rb2NaTbCl6
1.0
0.0000 5.4101 5.4101
5.4101 0.0000 5.4101
5.4101 5.4101 0.0000
Rb Na Tb Cl
2 1 1 6
direct
0.2500 0.2500 0.2500
0.7500 0.7500 0.7500
0.0000 0.0000 0.0000
0.5000 0.5000 0.5000
0.2555 0.2555 0.7445
0.2555 0.7445 0.2555
0.2555 0.7445 0.7445
0.7445 0.2555 0.2555
0.7445 0.2555 0.7445
0.7445 0.7445 0.2555
```

Largest 10 diffraction maxima, low angle first, 15° ≤ 2θ ≤ 90°:
23.3°, d 3.825, I = 100.0; 27.3°, d 3.262, I = 28.6; 28.6°, d 3.124, I = 23.1; 33.1°, d 2.705, I = 83.9; 40.9°, d 2.209, I = 46.9; 47.5°, d 1.913, I = 56.8; 53.6°, d 1.711, I = 21.8; 59.2°, d 1.562, I = 19.0; 64.4°, d 1.446, I = 25.0; 79.2°, d 1.210, I = 24.0



Rb2NaTmCl6: computed XRD peak list (Cu Kα, 1.54184 Å), based on the GGA-PBE geometry in the Materials Project.
Lines closer than 0.1° are merged.

Structural model:
```
Rb2NaTmCl6
1.0
0.0000 5.3601 5.3601
5.3601 0.0000 5.3601
5.3601 5.3601 0.0000
Rb Na Tm Cl
2 1 1 6
direct
0.2500 0.2500 0.2500
0.7500 0.7500 0.7500
0.0000 0.0000 0.0000
0.5000 0.5000 0.5000
0.2577 0.2577 0.7423
0.2577 0.7423 0.2577
0.2577 0.7423 0.7423
0.7423 0.2577 0.2577
0.7423 0.2577 0.7423
0.7423 0.7423 0.2577
```

Largest 10 diffraction maxima, low angle first, 15° ≤ 2θ ≤ 90°:
23.5°, d 3.790, I = 100.0; 27.6°, d 3.232, I = 30.4; 28.8°, d 3.095, I = 19.3; 33.4°, d 2.680, I = 80.3; 41.3°, d 2.188, I = 46.6; 48.0°, d 1.895, I = 54.2; 54.1°, d 1.695, I = 21.9; 59.8°, d 1.547, I = 18.1; 65.1°, d 1.433, I = 25.0; 80.1°, d 1.199, I = 22.9



Na3Sm7Cl24: computed XRD peak list (Cu Kα, 1.54184 Å), based on the GGA-PBE geometry in the Materials Project.
Lines closer than 0.1° are merged.

Structural model:
```
Na3Sm7Cl24
1.0
7.5506 0.0000 0.0000
-3.7753 6.5391 0.0000
0.0000 0.0000 16.7644
Na Sm Cl
3 7 24
direct
0.0000 0.0000 0.0000
0.6667 0.3333 0.1116
0.6667 0.3333 0.8884
0.0000 0.0000 0.2523
0.0000 0.0000 0.5000
0.0000 0.0000 0.7477
0.3333 0.6667 0.1256
0.3333 0.6667 0.3768
0.3333 0.6667 0.6232
0.3333 0.6667 0.8744
0.0494 0.6120 0.0000
0.0581 0.6362 0.2533
0.0581 0.6362 0.7467
0.0596 0.6373 0.5000
0.2726 0.0189 0.1319
0.2726 0.0189 0.8681
0.2732 0.0283 0.3767
0.2732 0.0283 0.6233
0.3627 0.4223 0.5000
0.3638 0.4219 0.2533
0.3638 0.4219 0.7467
0.3880 0.4373 0.0000
0.5627 0.9506 0.0000
0.5777 0.9404 0.5000
0.5781 0.9419 0.2533
0.5781 0.9419 0.7467
0.7463 0.7274 0.1319
0.7463 0.7274 0.8681
0.7550 0.7268 0.3767
0.7550 0.7268 0.6233
0.9717 0.2450 0.3767
0.9717 0.2450 0.6233
0.9811 0.2537 0.1319
0.9811 0.2537 0.8681
```

Largest 10 diffraction maxima, low angle first, 15° ≤ 2θ ≤ 90°:
23.6°, d 3.775, I = 50.7; 25.2°, d 3.529, I = 63.8; 31.9°, d 2.805, I = 28.6; 34.8°, d 2.578, I = 100.0; 36.3°, d 2.472, I = 18.1; 41.4°, d 2.180, I = 39.3; 42.5°, d 2.129, I = 81.4; 43.2°, d 2.096, I = 20.2; 61.4°, d 1.511, I = 23.0; 66.2°, d 1.412, I = 29.8



NaSn2Cl5: computed XRD peak list (Cu Kα, 1.54184 Å), based on the GGA-PBE geometry in the Materials Project.
Lines closer than 0.1° are merged.

Structural model:
```
NaSn2Cl5
1.0
8.6399 0.0000 0.0000
0.0000 12.1743 0.0000
0.0000 0.0000 8.8297
Na Sn Cl
4 8 20
direct
0.0000 0.0000 0.2485
0.0000 0.0000 0.7515
0.5000 0.5000 0.2515
0.5000 0.5000 0.7485
0.0539 0.3267 0.0000
0.0545 0.3333 0.5000
0.4461 0.8267 0.5000
0.4455 0.8333 0.0000
0.5545 0.1667 0.0000
0.5539 0.1733 0.5000
0.9455 0.6667 0.5000
0.9461 0.6733 0.0000
0.0000 0.5000 0.2975
0.0000 0.5000 0.7025
0.1612 0.8966 0.0000
0.1651 0.2068 0.2205
0.1651 0.2068 0.7795
0.1852 0.9337 0.5000
0.3148 0.4337 0.0000
0.3349 0.7068 0.2795
0.3349 0.7068 0.7205
0.3388 0.3966 0.5000
0.5000 0.0000 0.2025
0.5000 0.0000 0.7975
0.6612 0.6034 0.5000
0.6651 0.2932 0.2795
0.6651 0.2932 0.7205
0.6852 0.5663 0.0000
0.8148 0.0663 0.5000
0.8349 0.7932 0.2205
0.8349 0.7932 0.7795
0.8388 0.1034 0.0000
```

Largest 10 diffraction maxima, low angle first, 15° ≤ 2θ ≤ 90°:
20.1°, d 4.415, I = 42.2; 20.6°, d 4.322, I = 36.6; 21.8°, d 4.071, I = 53.4; 24.2°, d 3.673, I = 50.5; 27.0°, d 3.302, I = 55.5; 31.7°, d 2.824, I = 100.0; 32.5°, d 2.754, I = 59.7; 40.9°, d 2.207, I = 30.7; 47.5°, d 1.916, I = 42.0; 48.1°, d 1.891, I = 42.7



Na3TbCl6: computed XRD peak list (Cu Kα, 1.54184 Å), based on the GGA-PBE geometry in the Materials Project.
Lines closer than 0.1° are merged.

Structural model:
```
Na3TbCl6
1.0
0.0000 5.3289 5.3289
5.3289 0.0000 5.3289
5.3289 5.3289 0.0000
Na Tb Cl
3 1 6
direct
0.0000 0.0000 0.0000
0.2500 0.2500 0.2500
0.7500 0.7500 0.7500
0.5000 0.5000 0.5000
0.2533 0.2533 0.7467
0.2533 0.7467 0.2533
0.2533 0.7467 0.7467
0.7467 0.2533 0.2533
0.7467 0.2533 0.7467
0.7467 0.7467 0.2533
```

Largest 10 diffraction maxima, low angle first, 15° ≤ 2θ ≤ 90°:
16.6°, d 5.329, I = 100.0; 23.6°, d 3.768, I = 48.1; 27.8°, d 3.213, I = 45.2; 33.6°, d 2.664, I = 79.7; 36.8°, d 2.445, I = 19.8; 37.7°, d 2.383, I = 48.1; 41.5°, d 2.175, I = 23.4; 48.3°, d 1.884, I = 52.9; 51.4°, d 1.776, I = 23.9; 80.6°, d 1.192, I = 21.6



Na2TiCl4: computed XRD peak list (Cu Kα, 1.54184 Å), based on the GGA-PBE geometry in the Materials Project.
Lines closer than 0.1° are merged.

Structural model:
```
Na2TiCl4
1.0
6.9989 0.0000 0.0000
0.0000 12.2445 0.0000
0.0000 0.0000 3.7642
Na Ti Cl
4 2 8
direct
0.0831 0.1820 0.0000
0.4169 0.6820 0.0000
0.5831 0.3180 0.0000
0.9169 0.8180 0.0000
0.0000 0.5000 0.5000
0.5000 0.0000 0.5000
0.1233 0.6959 0.5000
0.2379 0.4577 0.0000
0.2621 0.9577 0.0000
0.3767 0.1959 0.5000
0.6233 0.8041 0.5000
0.7379 0.0423 0.0000
0.7621 0.5423 0.0000
0.8767 0.3041 0.5000
```

Largest 10 diffraction maxima, low angle first, 15° ≤ 2θ ≤ 90°:
27.9°, d 3.201, I = 100.0; 29.2°, d 3.061, I = 27.4; 30.7°, d 2.915, I = 28.4; 31.9°, d 2.805, I = 94.5; 35.0°, d 2.563, I = 35.1; 35.8°, d 2.509, I = 86.4; 38.1°, d 2.364, I = 92.2; 46.1°, d 1.970, I = 58.5; 48.4°, d 1.882, I = 40.0; 54.5°, d 1.682, I = 29.3



NaU2Cl6: computed XRD peak list (Cu Kα, 1.54184 Å), based on the GGA-PBE geometry in the Materials Project.
Lines closer than 0.1° are merged.

Structural model:
```
NaU2Cl6
1.0
4.1095 0.0000 0.0000
0.0344 7.7304 0.0000
0.0506 0.1235 13.5023
Na U Cl
2 4 12
direct
0.0000 0.0000 0.0000
0.4983 0.5006 0.5010
0.2506 0.0030 0.6679
0.2523 0.4991 0.1674
0.7515 0.0015 0.3329
0.7552 0.5016 0.8345
0.2487 0.1107 0.1917
0.2499 0.1560 0.4628
0.2504 0.7334 0.3512
0.2521 0.2293 0.8512
0.2521 0.6055 0.6928
0.2516 0.6555 0.9633
0.7484 0.3388 0.0443
0.7477 0.3897 0.3113
0.7500 0.2664 0.6520
0.7497 0.7685 0.1543
0.7514 0.8848 0.8105
0.7523 0.8396 0.5424
```

Largest 10 diffraction maxima, low angle first, 15° ≤ 2θ ≤ 90°:
22.8°, d 3.905, I = 42.9; 23.0°, d 3.870, I = 84.3; 25.4°, d 3.510, I = 100.0; 25.5°, d 3.498, I = 49.8; 34.3°, d 2.613, I = 48.6; 34.5°, d 2.601, I = 47.9; 34.6°, d 2.592, I = 47.0; 41.7°, d 2.164, I = 43.8; 41.9°, d 2.157, I = 31.5; 41.9°, d 2.154, I = 24.5



NaU2Cl6: computed XRD peak list (Cu Kα, 1.54184 Å), based on the GGA-PBE geometry in the Materials Project.
Lines closer than 0.1° are merged.

Structural model:
```
NaU2Cl6
1.0
7.7288 0.0000 0.0000
-3.8644 6.6934 0.0000
0.0000 0.0000 4.1233
Na U Cl
1 2 6
direct
0.0000 0.0000 0.0000
0.3333 0.6667 0.7447
0.6667 0.3333 0.2553
0.0804 0.6980 0.2473
0.3020 0.3824 0.2473
0.3824 0.0804 0.7527
0.6176 0.9196 0.2473
0.6980 0.6176 0.7527
0.9196 0.3020 0.7527
```

Largest 10 diffraction maxima, low angle first, 15° ≤ 2θ ≤ 90°:
23.0°, d 3.864, I = 83.2; 25.4°, d 3.511, I = 100.0; 26.6°, d 3.347, I = 18.1; 34.5°, d 2.598, I = 94.7; 40.4°, d 2.231, I = 44.8; 41.9°, d 2.156, I = 86.9; 50.2°, d 1.819, I = 18.0; 54.2°, d 1.693, I = 24.6; 61.2°, d 1.514, I = 22.4; 64.8°, d 1.439, I = 31.8



Na2UCl6: computed XRD peak list (Cu Kα, 1.54184 Å), based on the GGA-PBE geometry in the Materials Project.
Lines closer than 0.1° are merged.

Structural model:
```
Na2UCl6
1.0
12.1162 0.0000 0.0000
-6.0581 10.4929 0.0000
0.0000 0.0000 6.2661
Na U Cl
6 3 18
direct
0.0000 0.3396 0.0000
0.0000 0.6604 0.0000
0.3396 0.0000 0.0000
0.3396 0.3396 0.0000
0.6604 0.0000 0.0000
0.6604 0.6604 0.0000
0.0000 0.0000 0.0000
0.3333 0.6667 0.4948
0.6667 0.3333 0.5052
0.1054 0.2108 0.2274
0.1054 0.8946 0.2274
0.1274 0.5637 0.2497
0.2108 0.1054 0.7726
0.2298 0.4596 0.7328
0.2298 0.7702 0.7328
0.4363 0.5637 0.2497
0.4363 0.8726 0.2497
0.4596 0.2298 0.2672
0.5404 0.7702 0.7328
0.5637 0.1274 0.7503
0.5637 0.4363 0.7503
0.7702 0.2298 0.2672
0.7702 0.5404 0.2672
0.7892 0.8946 0.2274
0.8726 0.4363 0.7503
0.8946 0.1054 0.7726
0.8946 0.7892 0.7726
```

Largest 10 diffraction maxima, low angle first, 15° ≤ 2θ ≤ 90°:
16.5°, d 5.380, I = 100.0; 20.4°, d 4.355, I = 24.9; 22.1°, d 4.023, I = 48.7; 26.6°, d 3.351, I = 53.5; 29.2°, d 3.054, I = 37.1; 32.2°, d 2.783, I = 27.5; 34.0°, d 2.639, I = 31.0; 38.6°, d 2.334, I = 70.1; 44.9°, d 2.019, I = 35.2; 49.3°, d 1.848, I = 38.1